1.
Theoretical X-ray powder pattern
Compound: BaMg2HgPd
Radiation: Cu Kα, 1.54184 Å
Structure: DFT lattice parameters and positions (GGA-PBE)
Peak positions follow from Bragg's law for the DFT cell and can differ from measured ones.

Largest 8 diffraction maxima, sorted by position, 15 to 90 degrees two-theta:
2θ = 17.41°, I = 46.6; 2θ = 24.72°, I = 100.0; 2θ = 29.72°, I = 63.2; 2θ = 32.83°, I = 39.2; 2θ = 35.24°, I = 64.7; 2θ = 41.53°, I = 51.4; 2θ = 48.93°, I = 50.9; 2θ = 61.73°, I = 25.3

Structure:
Lattice parameters (Å, degrees): 5.093 5.093 5.456 90.00 90.00 90.00
Atoms (fractional coordinates):
Ba 0.000 0.000 0.000
Mg 0.000 0.500 0.500
Mg 0.500 0.000 0.500
Hg 0.500 0.500 0.000
Pd 0.500 0.500 0.500

***

2.
Theoretical X-ray powder pattern
Compound: BaSr2MgHg4
Radiation: Cu Kα, 1.54184 Å
Structure: DFT lattice parameters and positions (GGA-PBE)
Peak positions follow from Bragg's law for the DFT cell and can differ from measured ones.

Largest 8 diffraction maxima, sorted by position, 15 to 90 degrees two-theta:
2θ = 22.42°, I = 38.8; 2θ = 31.62°, I = 95.4; 2θ = 32.22°, I = 100.0; 2θ = 45.77°, I = 34.6; 2θ = 57.08°, I = 36.1; 2θ = 57.46°, I = 21.3; 2θ = 67.42°, I = 14.4; 2θ = 76.38°, I = 15.7

Structure:
Lattice parameters (Å, degrees): 9.866 9.866 9.866 32.71 32.71 32.71
Atoms (fractional coordinates):
Ba 0.000 0.000 0.000
Sr 0.242 0.242 0.242
Sr 0.758 0.758 0.758
Mg 0.500 0.500 0.500
Hg 0.126 0.126 0.126
Hg 0.384 0.384 0.384
Hg 0.616 0.616 0.616
Hg 0.874 0.874 0.874

***

3.
Theoretical X-ray powder pattern
Compound: Ba2SrMgHg6
Radiation: Cu Kα, 1.54184 Å
Structure: DFT lattice parameters and positions (GGA-PBE)
Peak positions follow from Bragg's law for the DFT cell and can differ from measured ones.

Largest 8 diffraction maxima, sorted by position, 15 to 90 degrees two-theta:
2θ = 19.07°, I = 22.1; 2θ = 26.96°, I = 22.1; 2θ = 28.39°, I = 22.9; 2θ = 32.00°, I = 28.8; 2θ = 32.19°, I = 28.4; 2θ = 32.91°, I = 100.0; 2θ = 33.96°, I = 56.0; 2θ = 37.02°, I = 26.4

Structure:
Lattice parameters (Å, degrees): 5.280 7.411 9.615 68.35 74.30 69.52
Atoms (fractional coordinates):
Ba 0.230 0.324 0.215
Ba 0.770 0.676 0.785
Sr 0.000 0.000 0.000
Mg 0.500 0.500 0.500
Hg 0.043 0.278 0.634
Hg 0.282 0.881 0.554
Hg 0.438 0.290 0.835
Hg 0.562 0.710 0.165
Hg 0.718 0.119 0.446
Hg 0.957 0.722 0.366

***

4.
Theoretical X-ray powder pattern
Compound: BaMg2Tl2Hg
Radiation: Cu Kα, 1.54184 Å
Structure: DFT lattice parameters and positions (GGA-PBE)
Peak positions follow from Bragg's law for the DFT cell and can differ from measured ones.

Largest 8 diffraction maxima, sorted by position, 15 to 90 degrees two-theta:
2θ = 23.41°, I = 63.5; 2θ = 29.64°, I = 100.0; 2θ = 36.72°, I = 61.4; 2θ = 37.97°, I = 27.4; 2θ = 44.01°, I = 12.5; 2θ = 47.88°, I = 27.0; 2θ = 57.13°, I = 26.3; 2θ = 61.82°, I = 25.4

Structure:
Lattice parameters (Å, degrees): 4.895 4.895 8.572 90.00 90.00 120.00
Atoms (fractional coordinates):
Ba 0.000 0.000 0.000
Mg 0.333 0.667 0.620
Mg 0.667 0.333 0.380
Tl 0.333 0.667 0.247
Tl 0.667 0.333 0.753
Hg 0.000 0.000 0.500

***

5.
Theoretical X-ray powder pattern
Compound: Ba6HgN
Radiation: Cu Kα, 1.54184 Å
Structure: DFT lattice parameters and positions (GGA-PBE)
Peak positions follow from Bragg's law for the DFT cell and can differ from measured ones.

Largest 8 diffraction maxima, sorted by position, 15 to 90 degrees two-theta:
2θ = 15.87°, I = 28.0; 2θ = 23.49°, I = 41.0; 2θ = 25.15°, I = 80.1; 2θ = 27.80°, I = 100.0; 2θ = 28.18°, I = 39.9; 2θ = 28.83°, I = 32.6; 2θ = 36.03°, I = 23.8; 2θ = 41.64°, I = 27.7

Structure:
Lattice parameters (Å, degrees): 7.652 7.652 7.542 97.65 97.65 115.38
Atoms (fractional coordinates):
Ba 0.016 0.319 0.241
Ba 0.262 0.262 0.816
Ba 0.319 0.016 0.241
Ba 0.681 0.984 0.759
Ba 0.738 0.738 0.184
Ba 0.984 0.681 0.759
Hg 0.500 0.500 0.500
N 0.000 0.000 0.000

***

6.
Theoretical X-ray powder pattern
Compound: Ba6Hg3N
Radiation: Cu Kα, 1.54184 Å
Structure: DFT lattice parameters and positions (GGA-PBE)
Peak positions follow from Bragg's law for the DFT cell and can differ from measured ones.

Largest 8 diffraction maxima, sorted by position, 15 to 90 degrees two-theta:
2θ = 24.54°, I = 48.6; 2θ = 24.80°, I = 38.6; 2θ = 25.94°, I = 100.0; 2θ = 28.17°, I = 49.6; 2θ = 30.79°, I = 77.8; 2θ = 32.51°, I = 66.7; 2θ = 33.26°, I = 54.4; 2θ = 37.26°, I = 43.7

Structure:
Lattice parameters (Å, degrees): 8.091 8.795 13.699 90.00 122.05 90.00
Atoms (fractional coordinates):
Ba 0.095 0.033 0.224
Ba 0.095 0.467 0.724
Ba 0.198 0.714 0.058
Ba 0.198 0.786 0.558
Ba 0.349 0.159 0.058
Ba 0.349 0.341 0.558
Ba 0.651 0.659 0.442
Ba 0.651 0.841 0.942
Ba 0.802 0.214 0.442
Ba 0.802 0.286 0.942
Ba 0.905 0.533 0.276
Ba 0.905 0.967 0.776
Hg 0.301 0.103 0.753
Hg 0.301 0.397 0.253
Hg 0.500 0.000 0.500
Hg 0.500 0.500 0.000
Hg 0.699 0.603 0.747
Hg 0.699 0.897 0.247
N 0.000 0.000 0.000
N 0.000 0.500 0.500